[1]
For Li2CaSiSe4, a structure optimized by DFT (GGA-PBE) gives the calculated PXRD pattern in this record (Cu Kα (weighted mean of Kα1 and Kα2)).
Kinematic intensities with the Lorentz-polarization factor, no thermal factor.

Principal peaks in the range 2θ from 10° to 90°, in order of rising 2θ:
- 13.6°, rel. 343
- 27.4°, rel. 484
- 28.3°, rel. 455
- 31.8°, rel. 420
- 32.5°, rel. 1000
- 41.6°, rel. 162
- 45.4°, rel. 179
- 46.1°, rel. 552
- 47.9°, rel. 162
- 77.2°, rel. 149

abc: 7.880 7.880 7.880
angles: 122.36 119.07 88.79
Atoms (fractional coordinates):
Li: 0.000 0.000 0.000
Li: 0.500 0.000 0.000
Li: 0.500 0.000 0.500
Li: 0.500 0.500 0.500
Ca: 0.000 0.500 0.500
Ca: 0.500 0.500 0.000
Si: 0.000 0.000 0.500
Si: 0.000 0.500 0.000
Se: 0.217 0.202 0.485
Se: 0.217 0.733 0.015
Se: 0.223 0.244 0.979
Se: 0.235 0.756 0.479
Se: 0.765 0.244 0.521
Se: 0.777 0.756 0.021
Se: 0.783 0.267 0.985
Se: 0.783 0.798 0.515

***

[2]
For Pr2Er5Tm2, a structure optimized by DFT (GGA-PBE) gives the calculated PXRD pattern in this record (Cu Kα (weighted mean of Kα1 and Kα2)).
Kinematic intensities with the Lorentz-polarization factor, no thermal factor.

Principal peaks in the range 2θ from 10° to 90°, in order of rising 2θ:
- 25.6°, rel. 387
- 28.0°, rel. 410
- 28.6°, rel. 392
- 29.9°, rel. 740
- 30.1°, rel. 670
- 33.0°, rel. 655
- 33.6°, rel. 723
- 35.0°, rel. 723
- 36.4°, rel. 1000
- 42.9°, rel. 335

abc: 10.935 10.935 8.169
angles: 99.88 99.88 18.27
Atoms (fractional coordinates):
Pr: 0.180 0.180 0.142
Pr: 0.820 0.820 0.858
Er: 0.000 0.000 0.000
Er: 0.094 0.094 0.729
Er: 0.309 0.309 0.468
Er: 0.691 0.691 0.532
Er: 0.906 0.906 0.271
Tm: 0.453 0.453 0.644
Tm: 0.547 0.547 0.356

***

[3]
For Pr8HOs3Br3, a structure optimized by DFT (GGA-PBE) gives the calculated PXRD pattern in this record (Cu Kα (weighted mean of Kα1 and Kα2)).
Kinematic intensities with the Lorentz-polarization factor, no thermal factor.

Principal peaks in the range 2θ from 10° to 90°, in order of rising 2θ:
- 11.4°, rel. 399
- 14.5°, rel. 116
- 29.3°, rel. 1000
- 36.9°, rel. 195
- 39.9°, rel. 305
- 44.0°, rel. 371
- 50.0°, rel. 129
- 53.7°, rel. 184
- 60.9°, rel. 88
- 71.8°, rel. 154

abc: 8.243 8.243 9.123
angles: 116.91 116.91 59.93
Atoms (fractional coordinates):
Pr: 0.228 0.734 0.696
Pr: 0.235 0.235 0.704
Pr: 0.266 0.266 0.304
Pr: 0.266 0.772 0.304
Pr: 0.734 0.228 0.696
Pr: 0.734 0.734 0.696
Pr: 0.765 0.765 0.296
Pr: 0.772 0.266 0.304
H: 0.500 0.500 0.500
Os: 0.000 0.000 0.500
Os: 0.000 0.500 0.500
Os: 0.500 0.000 0.500
Br: 0.000 0.500 0.000
Br: 0.500 0.000 0.000
Br: 0.500 0.500 0.000

***

[4]
For Pa2NbS8, a structure optimized by DFT (GGA-PBE) gives the calculated PXRD pattern in this record (Cu Kα (weighted mean of Kα1 and Kα2)).
Kinematic intensities with the Lorentz-polarization factor, no thermal factor.

Principal peaks in the range 2θ from 10° to 90°, in order of rising 2θ:
- 18.0°, rel. 1000
- 24.7°, rel. 207
- 26.4°, rel. 315
- 36.5°, rel. 226
- 39.9°, rel. 287
- 42.1°, rel. 233
- 42.5°, rel. 93
- 50.7°, rel. 120
- 54.4°, rel. 92
- 56.0°, rel. 107

abc: 6.750 6.750 9.144
angles: 90.00 90.00 120.00
Atoms (fractional coordinates):
Pa: 0.333 0.667 0.169
Pa: 0.667 0.333 0.831
Nb: 0.000 0.000 0.500
S: 0.164 0.327 0.339
S: 0.164 0.836 0.339
S: 0.327 0.164 0.661
S: 0.333 0.667 0.898
S: 0.667 0.333 0.102
S: 0.673 0.836 0.339
S: 0.836 0.164 0.661
S: 0.836 0.673 0.661

***

[5]
For Tb5ZrZn6, a structure optimized by DFT (GGA-PBE) gives the calculated PXRD pattern in this record (Cu Kα (weighted mean of Kα1 and Kα2)).
Kinematic intensities with the Lorentz-polarization factor, no thermal factor.

Principal peaks in the range 2θ from 10° to 90°, in order of rising 2θ:
- 25.0°, rel. 61
- 25.2°, rel. 119
- 35.8°, rel. 1000
- 36.1°, rel. 199
- 51.4°, rel. 70
- 51.8°, rel. 138
- 64.3°, rel. 69
- 64.4°, rel. 206
- 64.7°, rel. 139
- 76.0°, rel. 104

abc: 7.914 7.914 7.111
angles: 90.00 90.00 143.33
Atoms (fractional coordinates):
Tb: 0.000 0.000 0.000
Tb: 0.331 0.669 0.000
Tb: 0.334 0.666 0.500
Tb: 0.666 0.334 0.500
Tb: 0.669 0.331 0.000
Zr: 0.000 0.000 0.500
Zn: 0.160 0.840 0.259
Zn: 0.160 0.840 0.741
Zn: 0.500 0.500 0.264
Zn: 0.500 0.500 0.736
Zn: 0.840 0.160 0.259
Zn: 0.840 0.160 0.741

***

[6]
For Ac4Pr3Dy4, a structure optimized by DFT (GGA-PBE) gives the calculated PXRD pattern in this record (Cu Kα (weighted mean of Kα1 and Kα2)).
Kinematic intensities with the Lorentz-polarization factor, no thermal factor.

Principal peaks in the range 2θ from 10° to 90°, in order of rising 2θ:
- 29.4°, rel. 984
- 30.1°, rel. 1000
- 30.5°, rel. 537
- 30.7°, rel. 505
- 43.8°, rel. 406
- 53.7°, rel. 187
- 54.1°, rel. 213
- 54.4°, rel. 223
- 58.6°, rel. 310
- 58.9°, rel. 164

abc: 3.718 5.830 19.229
angles: 98.69 90.02 90.00
Atoms (fractional coordinates):
Ac: 0.000 0.000 0.000
Ac: 0.000 0.372 0.740
Ac: 0.502 0.188 0.375
Ac: 0.502 0.556 0.112
Pr: 0.002 0.277 0.553
Pr: 0.003 0.644 0.287
Pr: 0.500 0.913 0.824
Dy: 0.001 0.736 0.469
Dy: 0.002 0.098 0.196
Dy: 0.499 0.458 0.916
Dy: 0.501 0.816 0.631

***

[7]
For Si23O, a structure optimized by DFT (GGA-PBE) gives the calculated PXRD pattern in this record (Cu Kα (weighted mean of Kα1 and Kα2)).
Kinematic intensities with the Lorentz-polarization factor, no thermal factor.

Principal peaks in the range 2θ from 10° to 90°, in order of rising 2θ:
- 19.5°, rel. 943
- 21.3°, rel. 440
- 30.4°, rel. 239
- 32.9°, rel. 1000
- 36.3°, rel. 321
- 40.5°, rel. 295
- 52.3°, rel. 715
- 53.1°, rel. 268
- 53.9°, rel. 239
- 55.5°, rel. 470

abc: 10.198 10.198 10.198
angles: 90.00 90.00 90.00
Atoms (fractional coordinates):
Si: 0.000 0.117 0.308
Si: 0.000 0.117 0.692
Si: 0.000 0.250 0.500
Si: 0.000 0.750 0.500
Si: 0.000 0.883 0.308
Si: 0.000 0.883 0.692
Si: 0.117 0.308 0.000
Si: 0.117 0.692 0.000
Si: 0.182 0.182 0.182
Si: 0.182 0.182 0.818
Si: 0.182 0.818 0.182
Si: 0.182 0.818 0.818
Si: 0.192 0.383 0.500
Si: 0.192 0.617 0.500
Si: 0.250 0.500 0.000
Si: 0.308 0.000 0.117
Si: 0.308 0.000 0.883
Si: 0.318 0.318 0.318
Si: 0.318 0.318 0.682
Si: 0.318 0.682 0.318
Si: 0.318 0.682 0.682
Si: 0.383 0.500 0.192
Si: 0.383 0.500 0.808
Si: 0.500 0.000 0.250
Si: 0.500 0.000 0.750
Si: 0.500 0.192 0.383
Si: 0.500 0.192 0.617
Si: 0.500 0.808 0.383
Si: 0.500 0.808 0.617
Si: 0.617 0.500 0.192
Si: 0.617 0.500 0.808
Si: 0.682 0.318 0.318
Si: 0.682 0.318 0.682
Si: 0.682 0.682 0.318
Si: 0.682 0.682 0.682
Si: 0.692 0.000 0.117
Si: 0.692 0.000 0.883
Si: 0.750 0.500 0.000
Si: 0.808 0.383 0.500
Si: 0.808 0.617 0.500
Si: 0.818 0.182 0.182
Si: 0.818 0.182 0.818
Si: 0.818 0.818 0.182
Si: 0.818 0.818 0.818
Si: 0.883 0.308 0.000
Si: 0.883 0.692 0.000
O: 0.000 0.000 0.000
O: 0.500 0.500 0.500

***

[8]
For Dy2ThTl4, a structure optimized by DFT (GGA-PBE) gives the calculated PXRD pattern in this record (Cu Kα (weighted mean of Kα1 and Kα2)).
Kinematic intensities with the Lorentz-polarization factor, no thermal factor.

Principal peaks in the range 2θ from 10° to 90°, in order of rising 2θ:
- 26.7°, rel. 120
- 33.4°, rel. 1000
- 34.4°, rel. 530
- 46.4°, rel. 86
- 49.5°, rel. 242
- 59.0°, rel. 173
- 61.0°, rel. 363
- 70.1°, rel. 109
- 82.3°, rel. 79
- 82.9°, rel. 97

abc: 5.210 5.210 7.836
angles: 90.00 90.00 90.00
Atoms (fractional coordinates):
Dy: 0.000 0.000 0.000
Dy: 0.500 0.500 0.500
Th: 0.000 0.000 0.500
Tl: 0.000 0.500 0.226
Tl: 0.000 0.500 0.774
Tl: 0.500 0.000 0.226
Tl: 0.500 0.000 0.774

***

[9]
For CaNd5Tl5, a structure optimized by DFT (GGA-PBE) gives the calculated PXRD pattern in this record (Cu Kα (weighted mean of Kα1 and Kα2)).
Kinematic intensities with the Lorentz-polarization factor, no thermal factor.

Principal peaks in the range 2θ from 10° to 90°, in order of rising 2θ:
- 27.9°, rel. 268
- 28.4°, rel. 427
- 30.0°, rel. 767
- 30.3°, rel. 1000
- 32.3°, rel. 777
- 32.6°, rel. 501
- 34.4°, rel. 576
- 41.6°, rel. 203
- 45.1°, rel. 412
- 50.7°, rel. 230

abc: 9.228 9.228 7.228
angles: 108.36 108.36 37.31
Atoms (fractional coordinates):
Ca: 0.000 0.000 0.000
Nd: 0.000 0.000 0.500
Nd: 0.310 0.310 0.773
Nd: 0.375 0.375 0.321
Nd: 0.625 0.625 0.679
Nd: 0.690 0.690 0.227
Tl: 0.163 0.163 0.387
Tl: 0.167 0.167 0.946
Tl: 0.500 0.500 0.000
Tl: 0.833 0.833 0.054
Tl: 0.837 0.837 0.613

***

[10]
For Ce4Co2Ru, a structure optimized by DFT (GGA-PBE) gives the calculated PXRD pattern in this record (Cu Kα (weighted mean of Kα1 and Kα2)).
Kinematic intensities with the Lorentz-polarization factor, no thermal factor.

Principal peaks in the range 2θ from 10° to 90°, in order of rising 2θ:
- 21.0°, rel. 242
- 29.1°, rel. 588
- 29.8°, rel. 710
- 32.0°, rel. 1000
- 33.3°, rel. 548
- 39.7°, rel. 590
- 42.7°, rel. 406
- 49.5°, rel. 320
- 50.1°, rel. 233
- 53.5°, rel. 266

abc: 7.465 7.465 7.465
angles: 110.83 110.83 106.79
Atoms (fractional coordinates):
Ce: 0.202 0.257 0.555
Ce: 0.202 0.647 0.945
Ce: 0.257 0.202 0.055
Ce: 0.353 0.798 0.555
Ce: 0.647 0.202 0.445
Ce: 0.743 0.798 0.945
Ce: 0.798 0.353 0.055
Ce: 0.798 0.743 0.445
Co: 0.000 0.500 0.500
Co: 0.500 0.000 0.000
Co: 0.500 0.500 0.000
Co: 0.500 0.500 0.500
Ru: 0.125 0.875 0.250
Ru: 0.875 0.125 0.750

***

[11]
For Na3TiO6, a structure optimized by DFT (GGA-PBE) gives the calculated PXRD pattern in this record (Cu Kα (weighted mean of Kα1 and Kα2)).
Kinematic intensities with the Lorentz-polarization factor, no thermal factor.

Principal peaks in the range 2θ from 10° to 90°, in order of rising 2θ:
- 10.8°, rel. 515
- 10.9°, rel. 1000
- 15.4°, rel. 185
- 15.9°, rel. 60
- 21.7°, rel. 115
- 21.9°, rel. 217
- 24.3°, rel. 79
- 24.5°, rel. 75
- 31.0°, rel. 54
- 44.7°, rel. 53

abc: 8.120 8.120 8.206
angles: 90.00 90.00 93.29
Atoms (fractional coordinates):
Na: 0.000 0.000 0.000
Na: 0.000 0.500 0.500
Na: 0.500 0.000 0.500
Ti: 0.000 0.000 0.500
O: 0.000 0.000 0.264
O: 0.000 0.000 0.736
O: 0.026 0.765 0.500
O: 0.235 0.974 0.500
O: 0.765 0.026 0.500
O: 0.974 0.235 0.500

***

[12]
For TiCuNiPt, a structure optimized by DFT (GGA-PBE) gives the calculated PXRD pattern in this record (Cu Kα (weighted mean of Kα1 and Kα2)).
Kinematic intensities with the Lorentz-polarization factor, no thermal factor.

Principal peaks in the range 2θ from 10° to 90°, in order of rising 2θ:
- 25.5°, rel. 273
- 29.5°, rel. 205
- 42.3°, rel. 1000
- 50.0°, rel. 142
- 52.4°, rel. 60
- 61.3°, rel. 161
- 67.5°, rel. 61
- 69.5°, rel. 79
- 77.3°, rel. 320
- 83.0°, rel. 49

abc: 4.275 4.275 4.275
angles: 60.00 60.00 60.00
Atoms (fractional coordinates):
Ti: 0.000 0.000 0.000
Cu: 0.750 0.750 0.750
Ni: 0.500 0.500 0.500
Pt: 0.250 0.250 0.250